(1)
Computed XRD peak list of Pm5Pr8In for Cu Kα X-rays, from DFT lattice parameters and positions (GGA-PBE).
Lines closer than 0.1° are merged.

Crystal structure
```
data_Pm5Pr8In
_chemical_formula_sum 'Pm10 Pr16 In2'
_cell_length_a 10.0001
_cell_length_b 10.0001
_cell_length_c 9.9960
_cell_angle_alpha 90.00
_cell_angle_beta 90.00
_cell_angle_gamma 90.00
_space_group_name_H-M_alt 'I -4'
_space_group_IT_number 82
_space_group_name_Hall 'I -4'
loop_
_atom_site_label
_atom_site_type_symbol
_atom_site_fract_x
_atom_site_fract_y
_atom_site_fract_z
Pm1 Pm 0.0000 0.0000 0.0000
Pm2 Pm 0.0985 0.7946 0.4112
Pr1 Pr 0.0639 0.6645 0.0736
Pr2 Pr 0.0909 0.8071 0.7475
In1 In 0.0000 0.5000 0.7500
```

Principal peaks in the range 2θ = 10–90°, in order of falling intensity:
index  Position (°2θ)  I_rel
1 3 0  28.22  100
2 1 3  33.54  89
5 1 0  46.30  19
6 1 1  56.75  18
5 0 3  53.43  17
1 3 6  63.07  14
2 2 4  44.39  12
1 8 3  83.09  12
7 1 0  66.07  11
4 2 0  40.34  11


(2)
Computed XRD peak list of Pm2PrIn for Cu Kα X-rays, from DFT lattice parameters and positions (GGA-PBE).
Lines closer than 0.1° are merged.

Crystal structure
```
data_Pm2PrIn
_chemical_formula_sum 'Pm2 Pr1 In1'
_cell_length_a 4.9921
_cell_length_b 4.9921
_cell_length_c 4.9528
_cell_angle_alpha 90.00
_cell_angle_beta 90.00
_cell_angle_gamma 90.00
_space_group_name_H-M_alt 'P 4/m m m'
_space_group_IT_number 123
_space_group_name_Hall '-P 4 2'
loop_
_atom_site_label
_atom_site_type_symbol
_atom_site_fract_x
_atom_site_fract_y
_atom_site_fract_z
Pm1 Pm 0.0000 0.5000 0.0000
Pr1 Pr 0.0000 0.0000 0.5000
In1 In 0.5000 0.5000 0.5000
```

Principal peaks in the range 2θ = 10–90°, in order of falling intensity:
index  Position (°2θ)  I_rel
1 1 1  31.11  100
2 0 0  35.98  34
3 1 1  61.67  28
2 0 2  52.02  23
0 0 2  36.28  17
1 1 3  62.06  14
2 2 2  64.87  12
2 2 0  51.80  12
3 1 3  85.01  11
3 3 1  84.66  6


(3)
Computed XRD peak list of Pm4Pr9In11 for Cu Kα X-rays, from DFT lattice parameters and positions (GGA-PBE).
Lines closer than 0.1° are merged.

Crystal structure
```
data_Pm4Pr9In11
_chemical_formula_sum 'Pm8 Pr18 In22'
_cell_length_a 18.2961
_cell_length_b 21.6757
_cell_length_c 3.6020
_cell_angle_alpha 90.00
_cell_angle_beta 90.00
_cell_angle_gamma 90.00
_space_group_name_H-M_alt 'C m m m'
_space_group_IT_number 65
_space_group_name_Hall '-C 2 2'
loop_
_atom_site_label
_atom_site_type_symbol
_atom_site_fract_x
_atom_site_fract_y
_atom_site_fract_z
Pm1 Pm 0.1544 0.0842 0.0000
Pr1 Pr 0.0000 0.0000 0.0000
Pr2 Pr 0.1168 0.2398 0.0000
Pr3 Pr 0.1195 0.4116 0.0000
In1 In 0.0000 0.1367 0.5000
In2 In 0.0000 0.3294 0.5000
In3 In 0.0000 0.5000 0.5000
In4 In 0.2344 0.5000 0.5000
In5 In 0.2426 0.3231 0.5000
```

Principal peaks in the range 2θ = 10–90°, in order of falling intensity:
index  Position (°2θ)  I_rel
4 6 0  31.59  100
0 6 1  35.19  43
4 6 2  60.95  15
8 6 1  53.84  11
8 0 0  39.40  11
9 5 1  56.12  9
0 0 2  50.69  9
1 5 1  32.69  9
5 11 1  59.11  8
8 0 2  66.03  8


(4)
Computed XRD peak list of Pm4Pr5In4 for Cu Kα X-rays, from DFT lattice parameters and positions (GGA-PBE).
Lines closer than 0.1° are merged.

Crystal structure
```
data_Pm4Pr5In4
_chemical_formula_sum 'Pm8 Pr10 In8'
_cell_length_a 12.6237
_cell_length_b 12.6237
_cell_length_c 5.2462
_cell_angle_alpha 90.00
_cell_angle_beta 90.00
_cell_angle_gamma 90.00
_space_group_name_H-M_alt 'I 4/m'
_space_group_IT_number 87
_space_group_name_Hall '-I 4'
loop_
_atom_site_label
_atom_site_type_symbol
_atom_site_fract_x
_atom_site_fract_y
_atom_site_fract_z
Pm1 Pm 0.0940 0.6140 0.0000
Pr1 Pr 0.0000 0.0000 0.0000
Pr2 Pr 0.0964 0.8094 0.5000
In1 In 0.1102 0.2336 0.0000
```

Principal peaks in the range 2θ = 10–90°, in order of falling intensity:
index  Position (°2θ)  I_rel
2 3 1  30.70  100
0 0 2  34.18  23
5 1 0  36.29  19
2 3 3  59.05  15
5 1 2  50.70  14
1 4 1  33.90  10
2 7 1  55.84  9
3 0 1  27.17  8
4 2 0  31.70  7
5 5 2  62.98  7